The following is a simulated powder diffraction line list of BaHf2Fe2O7. It was derived from a DFT-relaxed cell (PBE+U, Alexandria), using λ = 1.5418 Å (Cu Kα).

Atomic structure:
```
BaHf2Fe2O7
1.0
-2.0714 2.1441 8.9469
2.0714 -2.1441 8.9469
2.0714 2.1441 -8.9469
Ba Hf Fe O
1 2 2 7
direct
0.0000 0.0000 0.0000
0.3847 0.3847 0.0000
0.6153 0.6153 0.0000
0.2392 0.7392 0.5000
0.7608 0.2608 0.5000
0.1165 0.6165 0.5000
0.2651 0.2651 0.0000
0.3827 0.8827 0.5000
0.5000 0.5000 0.0000
0.6173 0.1173 0.5000
0.7349 0.7349 0.0000
0.8835 0.3835 0.5000
```

Most intense lines, 2θ = 10–90°, most intense first:
| two_theta | I_rel |
| --- | --- |
| 26.19 | 100.0 |
| 32.59 | 95.8 |
| 25.58 | 78.7 |
| 29.99 | 75.8 |
| 31.65 | 74.2 |
| 33.08 | 62.8 |
| 42.14 | 59.0 |
| 40.32 | 54.3 |
| 43.70 | 52.9 |
| 55.56 | 43.1 |